Entry 1:
Diffraction record for Er6IrPt3. The PXRD pattern is theoretical, not measured: it uses a crystal structure in OQMD, relaxed with PBE and a wavelength of 1.5418 Å.

Largest 10 diffraction maxima, by angle, 10° ≤ 2θ ≤ 90°:
2θ/deg  I (rel.)  hkl
22.71  100  2 0 0
26.89  24  2 1 1
34.83  35  0 0 4
35.47  17  3 0 1
36.86  21  2 2 2
40.41  23  3 1 2
41.99  40  2 0 4
46.38  18  4 0 0
52.67  17  3 3 2
59.29  18  4 0 4

Atomic structure:
Unit cell a=7.8313 b=7.8313 c=10.3020 alpha=90.00 beta=90.00 gamma=90.00
Space group I4/mmm (No. 139)
Asymmetric unit:
Er  0.0000  0.0000  0.2416 x4
Er  0.0000  0.3233  0.5000 x8
Ir  0.0000  0.0000  0.5000 x2
Pt  0.0000  0.0000  0.0000 x2
Pt  0.0000  0.5000  0.2500 x4

---

Entry 2:
Diffraction record for Sr2HgAsP. The PXRD pattern is theoretical, not measured: it uses a crystal structure in OQMD, relaxed with PBE and a wavelength of 1.5418 Å.

Largest 10 diffraction maxima, by angle, 10° ≤ 2θ ≤ 90°:
2θ/deg  I (rel.)  hkl
10.62  47  0 2 0
15.66  80  0 2 1
23.83  37  1 1 1
28.30  100  1 3 1
31.28  92  1 1 2
31.63  38  0 4 2
33.69  96  1 5 0
36.62  49  0 2 3
40.87  45  2 0 0
43.92  37  1 3 3

Atomic structure:
Unit cell a=4.4156 b=16.6675 c=7.7037 alpha=90.00 beta=90.00 gamma=90.00
Space group Cmc2_1 (No. 36)
Asymmetric unit:
Sr  0.0000  0.0365  0.0000 x4
Sr  0.0000  0.2068  0.3626 x4
Hg  0.0000  0.4015  0.1631 x4
As  0.0000  0.4329  0.7946 x4
P  0.0000  0.1763  0.7524 x4

---

Entry 3:
Diffraction record for Nd2Y2CICl4. The PXRD pattern is theoretical, not measured: it uses a crystal structure in OQMD, relaxed with PBE and a wavelength of 1.5418 Å.

Largest 10 diffraction maxima, by angle, 10° ≤ 2θ ≤ 90°:
2θ/deg  I (rel.)  hkl
10.50  37  2 0 0
10.75  55  0 0 1
16.84  31  2 0 1
21.15  30  4 0 -1
28.58  34  3 1 -1
31.27  100  1 1 -2
31.53  40  3 1 1
31.86  44  6 0 0
45.15  27  7 1 -2
45.36  28  5 1 2

Atomic structure:
Unit cell a=17.4057 b=3.8661 c=8.5014 alpha=90.00 beta=104.50 gamma=90.00
Space group C2/m (No. 12)
Asymmetric unit:
Nd  0.1478  0.0000  0.0800 x4
Y  0.0008  0.5000  0.8082 x4
C  0.0000  0.0000  0.0000 x2
I  0.0000  0.0000  0.5000 x2
Cl  0.1603  0.5000  0.3258 x4
Cl  0.1668  0.5000  0.8420 x4

---

Entry 4:
Diffraction record for BaZrF6. The PXRD pattern is theoretical, not measured: it uses a crystal structure in OQMD, relaxed with PBE and a wavelength of 1.5418 Å.

Largest 10 diffraction maxima, by angle, 10° ≤ 2θ ≤ 90°:
2θ/deg  I (rel.)  hkl
23.90  100  1 2 -1
26.13  61  1 2 0
26.56  59  0 1 2
27.75  46  1 2 -2
28.29  58  2 0 -2
28.67  56  1 1 1
31.59  35  1 1 -3
41.10  54  0 4 1
41.46  48  2 1 -4
44.01  39  2 3 -3

Atomic structure:
Unit cell a=6.3579 b=9.2247 c=9.0464 alpha=90.00 beta=127.20 gamma=90.00
Space group P2_1/c (No. 14)
Asymmetric unit:
Ba  0.0857  0.1805  0.3575 x4
Zr  0.3804  0.5388  0.6406 x4
F  0.0374  0.0334  0.8828 x4
F  0.1779  0.7289  0.5257 x4
F  0.2166  0.0433  0.6721 x4
F  0.3445  0.1637  0.2151 x4
F  0.4235  0.6048  0.8700 x4
F  0.4804  0.6255  0.4677 x4

---

Entry 5:
Diffraction record for ZrSnIr. The PXRD pattern is theoretical, not measured: it uses a crystal structure in OQMD, relaxed with PBE and a wavelength of 1.5418 Å.

Largest 10 diffraction maxima, by angle, 10° ≤ 2θ ≤ 90°:
2θ/deg  I (rel.)  hkl
24.06  34  1 1 0
27.87  20  1 0 2
34.30  61  1 1 2
37.14  100  2 0 2
42.31  63  3 0 0
44.74  48  2 1 2
49.30  29  0 0 4
66.95  34  3 0 4
68.72  33  3 2 2
79.10  15  5 0 2

Atomic structure:
Unit cell a=7.3993 b=7.3993 c=7.3893 alpha=90.00 beta=90.00 gamma=120.00
Space group P-62c (No. 190)
Asymmetric unit:
Zr  0.0204  0.4059  0.2500 x6
Sn  0.0000  0.7295  0.0000 x6
Ir  0.0000  0.0000  0.2500 x2
Ir  0.3333  0.6667  0.5373 x4

---

Entry 6:
Diffraction record for Cs2Ag2MoSe4. The PXRD pattern is theoretical, not measured: it uses a crystal structure in OQMD, relaxed with PBE and a wavelength of 1.5418 Å.

Largest 10 diffraction maxima, by angle, 10° ≤ 2θ ≤ 90°:
2θ/deg  I (rel.)  hkl
15.19  13  1 1 0
27.19  100  1 3 1
30.66  28  2 2 0
30.82  28  0 2 2
37.11  13  1 5 1
40.10  40  2 0 2
47.46  22  2 6 0
47.57  21  0 6 2
49.02  17  3 3 1
49.24  16  1 3 3

Atomic structure:
Unit cell a=6.3793 b=14.3762 c=6.3408 alpha=90.00 beta=90.00 gamma=90.00
Space group C222 (No. 21)
Asymmetric unit:
Cs  0.2500  0.2500  0.2374 x4
Ag  0.0000  0.0000  0.0000 x2
Ag  0.0000  0.5000  0.5000 x2
Mo  0.0000  0.0000  0.5000 x2
Se  0.2216  0.1018  0.7208 x8

---

Entry 7:
Diffraction record for Zn2Si3Pb4SO15. The PXRD pattern is theoretical, not measured: it uses a crystal structure in OQMD, relaxed with PBE and a wavelength of 1.5418 Å.

Largest 10 diffraction maxima, by angle, 10° ≤ 2θ ≤ 90°:
2θ/deg  I (rel.)  hkl
18.92  32  1 1 0
23.80  27  2 1 0
27.32  22  1 1 -3
28.17  100  0 1 3
29.00  44  2 1 -3
30.18  42  3 1 -2
30.31  31  3 1 0
30.82  25  2 1 2
34.39  35  0 2 0
48.60  22  3 1 4

Atomic structure:
Unit cell a=11.2777 b=5.2152 c=12.5845 alpha=90.00 beta=108.04 gamma=90.00
Space group P2_1 (No. 4)
Asymmetric unit:
Zn  0.0837  0.0000  0.1444 x2
Zn  0.3592  0.9774  0.8875 x2
Si  0.0772  0.0120  0.8759 x2
Si  0.3630  0.0572  0.3162 x2
Si  0.4871  0.4789  0.8476 x2
Pb  0.1485  0.5037  0.7160 x2
Pb  0.1859  0.5066  0.3727 x2
Pb  0.2675  0.4200  0.0634 x2
Pb  0.4551  0.0442  0.6169 x2
S  0.1478  0.9882  0.5330 x2
O  0.0429  0.9631  0.5782 x2
O  0.0564  0.6545  0.1885 x2
O  0.0665  0.6995  0.8599 x2
O  0.1068  0.9860  0.4077 x2
O  0.1182  0.0985  0.0075 x2
O  0.1883  0.1178  0.8275 x2
O  0.2183  0.2312  0.5734 x2
O  0.2380  0.7693  0.5721 x2
O  0.2405  0.1945  0.2273 x2
O  0.3435  0.7551  0.3336 x2
O  0.3558  0.6073  0.8526 x2
O  0.3959  0.0792  0.0470 x2
O  0.4050  0.2285  0.4307 x2
O  0.4807  0.1675  0.8361 x2
O  0.4841  0.0902  0.2665 x2

---

Entry 8:
Diffraction record for Gd4YTl. The PXRD pattern is theoretical, not measured: it uses a crystal structure in OQMD, relaxed with PBE and a wavelength of 1.5418 Å.

Largest 10 diffraction maxima, by angle, 10° ≤ 2θ ≤ 90°:
2θ/deg  I (rel.)  hkl
19.49  33  0 2 0
19.80  35  2 0 0
25.38  34  0 2 1
25.63  73  2 0 1
31.09  39  1 3 0
32.55  47  0 0 2
35.21  37  1 3 1
35.56  41  3 1 1
45.65  100  3 3 1
67.35  32  3 3 3

Atomic structure:
Unit cell a=8.9698 b=9.1104 c=5.5019 alpha=90.00 beta=90.00 gamma=90.00
Space group Cmmm (No. 65)
Asymmetric unit:
Gd  0.0000  0.1791  0.0000 x4
Gd  0.1727  0.5000  0.5000 x4
Y  0.0000  0.0000  0.5000 x2
Tl  0.0000  0.5000  0.0000 x2

---

Entry 9:
Diffraction record for LaGdIn2Ni4. The PXRD pattern is theoretical, not measured: it uses a crystal structure in OQMD, relaxed with PBE and a wavelength of 1.5418 Å.

Largest 10 diffraction maxima, by angle, 10° ≤ 2θ ≤ 90°:
2θ/deg  I (rel.)  hkl
30.53  100  1 1 1
33.40  25  1 0 2
34.37  32  0 2 0
37.70  63  1 1 2
41.77  28  0 1 3
42.96  27  0 2 2
43.08  27  1 2 1
44.46  35  2 0 0
47.61  19  1 1 3
63.54  17  2 2 2

Atomic structure:
Unit cell a=4.0751 b=5.2184 c=7.1281 alpha=90.00 beta=90.00 gamma=90.00
Space group Pmm2 (No. 25)
Asymmetric unit:
La  0.0000  0.0000  0.0000 x1
Gd  0.0000  0.5000  0.5365 x1
In  0.5000  0.0000  0.6117 x1
In  0.5000  0.5000  0.9147 x1
Ni  0.0000  0.0000  0.3786 x1
Ni  0.0000  0.5000  0.1573 x1
Ni  0.5000  0.2568  0.2736 x2

---

Entry 10:
Diffraction record for Ho3Zn11. The PXRD pattern is theoretical, not measured: it uses a crystal structure in OQMD, relaxed with PBE and a wavelength of 1.5418 Å.

Largest 10 diffraction maxima, by angle, 10° ≤ 2θ ≤ 90°:
2θ/deg  I (rel.)  hkl
29.55  23  1 0 3
34.59  29  0 2 4
35.81  100  1 2 3
36.52  72  1 3 0
36.76  31  0 3 3
39.27  26  1 3 2
41.86  45  2 0 0
42.70  18  0 0 6
55.39  19  2 2 4
70.14  29  1 4 7

Atomic structure:
Unit cell a=4.3164 b=8.9819 c=12.7059 alpha=90.00 beta=90.00 gamma=90.00
Space group Immm (No. 71)
Asymmetric unit:
Ho  0.0000  0.0000  0.0000 x2
Ho  0.0000  0.0000  0.2953 x4
Zn  0.0000  0.1868  0.5000 x4
Zn  0.0000  0.2806  0.1376 x8
Zn  0.0000  0.3621  0.3407 x8
Zn  0.0000  0.5000  0.0000 x2

---

Entry 11:
Diffraction record for K7NbS6O24. The PXRD pattern is theoretical, not measured: it uses a crystal structure in OQMD, relaxed with PBE and a wavelength of 1.5418 Å.

Largest 10 diffraction maxima, by angle, 10° ≤ 2θ ≤ 90°:
2θ/deg  I (rel.)  hkl
11.82  21  1 1 0
16.75  12  0 2 1
20.55  10  2 1 1
26.64  100  1 2 2
31.62  34  4 1 0
36.03  12  3 0 3
41.80  9  4 2 2
43.59  12  2 5 0
50.28  7  5 -2 4
53.34  15  2 5 3

Atomic structure:
Unit cell a=14.9821 b=14.9821 c=9.1464 alpha=90.00 beta=90.00 gamma=120.00
Space group R-3 (No. 148, hexagonal axes)
Asymmetric unit:
K  0.0000  0.0000  0.0000 x3
K  0.0536  0.6027  0.7900 x18
Nb  0.0000  0.0000  0.5000 x3
S  0.0326  0.8378  0.7263 x18
O  0.0015  0.2661  0.3279 x18
O  0.0067  0.1625  0.1263 x18
O  0.0211  0.1185  0.3758 x18
O  0.0927  0.2364  0.7149 x18

---

Number 7 is which compound?
Zn2Si3Pb4SO15

---

What did the third record say?
Diffraction record for Nd2Y2CICl4. The PXRD pattern is theoretical, not measured: it uses a crystal structure in OQMD, relaxed with PBE and a wavelength of 1.5418 Å.

Largest 10 diffraction maxima, by angle, 10° ≤ 2θ ≤ 90°:
2θ/deg  I (rel.)  hkl
10.50  37  2 0 0
10.75  55  0 0 1
16.84  31  2 0 1
21.15  30  4 0 -1
28.58  34  3 1 -1
31.27  100  1 1 -2
31.53  40  3 1 1
31.86  44  6 0 0
45.15  27  7 1 -2
45.36  28  5 1 2

Atomic structure:
Unit cell a=17.4057 b=3.8661 c=8.5014 alpha=90.00 beta=104.50 gamma=90.00
Space group C2/m (No. 12)
Asymmetric unit:
Nd  0.1478  0.0000  0.0800 x4
Y  0.0008  0.5000  0.8082 x4
C  0.0000  0.0000  0.0000 x2
I  0.0000  0.0000  0.5000 x2
Cl  0.1603  0.5000  0.3258 x4
Cl  0.1668  0.5000  0.8420 x4